Starting from a GGA+U-relaxed structure, the powder diffractogram of MnAl2P2H10O13F2 was computed for Cu Ka.
Kinematic intensities with the Lorentz-polarization factor, no thermal factor.

Main lines, in order of rising 2θ (5° ≤ 2θ ≤ 70°):
| index | Position (°2θ) | I/Imax |
| --- | --- | --- |
| 0 1 0 | 9.09 | 100.0 |
| 0 1 -1 | 11.98 | 42.5 |
| 1 1 0 | 17.92 | 7.7 |
| 0 1 -2 | 19.29 | 9.8 |
| 0 1 2 | 21.51 | 15.6 |
| 0 2 2 | 27.64 | 10.0 |
| 0 3 1 | 30.21 | 19.3 |
| 0 2 -3 | 31.04 | 16.5 |
| 2 1 -1 | 31.33 | 10.5 |
| 2 -2 0 | 33.99 | 7.4 |

Cell and atoms:
Lattice parameters (Å, degrees): 6.094 9.828 9.939 97.16 99.32 92.83
Space group P-1 (No. 2)
Inequivalent atoms, fractional coordinates:
Mn 0.149 0.097 0.412 x2
Al 0.000 0.500 0.000 x1
Al 0.316 0.783 0.206 x2
Al 0.500 0.000 0.000 x1
P 0.207 0.230 0.894 x2
P 0.417 0.936 0.669 x2
H 0.015 0.653 0.810 x2
H 0.017 0.692 0.424 x2
H 0.115 0.868 0.820 x2
H 0.126 0.146 0.132 x2
H 0.216 0.555 0.802 x2
H 0.222 0.279 0.641 x2
H 0.390 0.587 0.339 x2
H 0.406 0.725 0.456 x2
H 0.415 0.410 0.163 x2
H 0.498 0.652 0.702 x2
O 0.017 0.811 0.201 x2
O 0.043 0.173 0.210 x2
O 0.064 0.561 0.828 x2
O 0.129 0.288 0.551 x2
O 0.195 0.970 0.583 x2
O 0.200 0.367 0.989 x2
O 0.271 0.123 0.993 x2
O 0.328 0.678 0.361 x2
O 0.381 0.921 0.816 x2
O 0.382 0.246 0.798 x2
O 0.392 0.950 0.327 x2
O 0.485 0.569 0.747 x2
O 0.493 0.197 0.398 x2
F 0.236 0.617 0.096 x2
F 0.311 0.874 0.054 x2